# 1
Structure and calculated X-ray powder pattern of Pm4Pr5Nd2 (a cell relaxed with GGA-PBE; copper Kα).

Cell and atoms:
Lattice parameters (Å, degrees): 12.433 12.433 9.045 96.73 96.73 16.36
Atoms (fractional coordinates):
Pm 0.046 0.046 0.363
Pm 0.322 0.322 0.528
Pm 0.678 0.678 0.472
Pm 0.954 0.954 0.637
Pr 0.140 0.140 0.116
Pr 0.231 0.231 0.823
Pr 0.500 0.500 0.000
Pr 0.769 0.769 0.177
Pr 0.860 0.860 0.884
Nd 0.091 0.091 0.731
Nd 0.909 0.909 0.269

Peak list (12 most intense, 2θ from 10° to 80°, in order of rising 2θ)
25.44°, rel. 14.6
28.81°, rel. 14.6
29.74°, rel. 100.0
29.87°, rel. 53.5
31.21°, rel. 11.3
31.35°, rel. 47.0
32.70°, rel. 11.9
35.99°, rel. 26.2
38.41°, rel. 12.0
51.68°, rel. 12.1
60.81°, rel. 28.6
61.73°, rel. 19.9



# 2
Structure and calculated X-ray powder pattern of Pm3Pr4Nd (a cell relaxed with GGA-PBE; copper Kα).

Cell and atoms:
Lattice parameters (Å, degrees): 10.447 7.363 7.363 90.00 90.00 90.00
Atoms (fractional coordinates):
Pm 0.000 0.000 0.000
Pm 0.250 0.249 0.250
Pm 0.250 0.751 0.750
Pm 0.500 0.000 0.500
Pm 0.750 0.249 0.250
Pm 0.750 0.751 0.750
Pr 0.000 0.000 0.500
Pr 0.000 0.500 0.000
Pr 0.250 0.250 0.750
Pr 0.250 0.750 0.250
Pr 0.500 0.000 0.000
Pr 0.500 0.500 0.500
Pr 0.750 0.250 0.750
Pr 0.750 0.750 0.250
Nd 0.000 0.500 0.500
Nd 0.500 0.500 0.000

Peak list (9 most intense, 2θ from 10° to 80°, in order of rising 2θ)
29.69°, rel. 100.0
34.33°, rel. 17.0
34.45°, rel. 33.7
49.46°, rel. 36.4
58.65°, rel. 14.6
58.81°, rel. 28.9
61.64°, rel. 12.5
72.36°, rel. 1.9
72.64°, rel. 3.8



# 3
Structure and calculated X-ray powder pattern of Pm9Pr11Nd4 (a cell relaxed with GGA-PBE; copper Kα).

Cell and atoms:
Lattice parameters (Å, degrees): 15.752 15.752 3.757 90.00 90.00 113.09
Atoms (fractional coordinates):
Pm 0.000 0.000 0.000
Pm 0.133 0.664 0.000
Pm 0.289 0.436 0.000
Pm 0.336 0.867 0.000
Pm 0.436 0.289 0.000
Pm 0.564 0.711 0.000
Pm 0.664 0.133 0.000
Pm 0.711 0.564 0.000
Pm 0.867 0.336 0.000
Pr 0.095 0.457 0.500
Pr 0.133 0.867 0.500
Pr 0.210 0.210 0.500
Pr 0.340 0.660 0.500
Pr 0.457 0.095 0.500
Pr 0.500 0.500 0.500
Pr 0.543 0.905 0.500
Pr 0.660 0.340 0.500
Pr 0.790 0.790 0.500
Pr 0.867 0.133 0.500
Pr 0.905 0.543 0.500
Nd 0.056 0.258 0.000
Nd 0.258 0.056 0.000
Nd 0.742 0.944 0.000
Nd 0.944 0.742 0.000

Peak list (12 most intense, 2θ from 10° to 80°, in order of rising 2θ)
28.95°, rel. 100.0
29.25°, rel. 32.8
30.13°, rel. 32.5
30.87°, rel. 16.3
31.05°, rel. 25.6
31.36°, rel. 94.0
31.49°, rel. 93.6
48.45°, rel. 30.4
53.00°, rel. 15.9
57.44°, rel. 32.8
60.41°, rel. 18.6
79.65°, rel. 18.9



# 4
Structure and calculated X-ray powder pattern of Pm3PrNd4 (a cell relaxed with GGA-PBE; copper Kα).

Cell and atoms:
Lattice parameters (Å, degrees): 11.920 7.409 6.407 90.00 90.00 90.00
Atoms (fractional coordinates):
Pm 0.000 0.124 0.000
Pm 0.250 0.125 0.668
Pm 0.250 0.875 0.168
Pm 0.500 0.876 0.500
Pm 0.750 0.125 0.668
Pm 0.750 0.875 0.168
Pr 0.000 0.875 0.500
Pr 0.500 0.125 0.000
Nd 0.000 0.374 0.500
Nd 0.000 0.625 0.000
Nd 0.249 0.375 0.167
Nd 0.251 0.625 0.667
Nd 0.500 0.375 0.500
Nd 0.500 0.626 0.000
Nd 0.749 0.625 0.667
Nd 0.751 0.375 0.167

Peak list (12 most intense, 2θ from 10° to 80°, in order of rising 2θ)
27.83°, rel. 23.4
29.99°, rel. 25.7
31.69°, rel. 100.0
41.37°, rel. 16.1
49.23°, rel. 19.5
54.33°, rel. 21.8
58.72°, rel. 23.0
59.74°, rel. 16.3
62.32°, rel. 3.2
66.20°, rel. 4.0
69.58°, rel. 3.4
76.34°, rel. 8.0